Ba5Cr3O13: computed X-ray diffraction stick pattern (CuKα), based on a structure optimized by DFT (GGA+U).
Kinematic intensities with the Lorentz-polarization factor, no thermal factor.

Top 8 peaks for 2θ from 15° to 90°, in order of rising 2θ:
2θ/deg  Rel. int.  index
24.3  363  1 2 -1
25.8  237  3 0 -2
28.0  1000  2 1 1
28.1  725  1 1 -3
29.2  193  0 0 3
41.0  199  4 2 -2
42.8  246  1 3 -3
45.3  223  0 4 0

Atomic structure:
```
Ba5Cr3O13
1.0
10.559 0.000 0.000
0.000 8.007 0.000
-5.220 0.000 9.181
Ba Cr O
10 6 26
Direct
0.009 0.000 0.238
0.226 0.000 0.980
0.231 0.501 0.217
0.326 0.250 0.672
0.326 0.752 0.674
0.674 0.252 0.326
0.674 0.750 0.328
0.769 0.001 0.783
0.774 0.500 0.020
0.991 0.500 0.762
0.039 0.499 0.407
0.375 0.500 0.967
0.407 0.001 0.372
0.593 0.501 0.628
0.625 0.000 0.033
0.961 0.999 0.593
0.005 0.988 0.002
0.095 0.674 0.353
0.102 0.323 0.362
0.129 0.500 0.595
0.151 0.000 0.675
0.265 0.675 0.911
0.266 0.324 0.908
0.336 0.999 0.483
0.351 0.168 0.265
0.356 0.831 0.268
0.411 0.504 0.533
0.466 0.501 0.868
0.482 0.501 0.156
0.518 0.001 0.844
0.534 0.001 0.132
0.589 0.004 0.467
0.644 0.331 0.732
0.649 0.668 0.735
0.664 0.499 0.517
0.734 0.824 0.092
0.735 0.175 0.089
0.849 0.500 0.325
0.871 0.000 0.405
0.898 0.823 0.638
0.905 0.174 0.647
0.995 0.488 0.998
```